Entry 1:
The following is a simulated powder diffraction line list of Na2NdAlSn2. It was derived from a DFT-relaxed cell (PBE, Alexandria), using Cu Kα (weighted mean of Kα1 and Kα2).
Neutral-atom scattering factors, no anomalous dispersion.

Largest 12 diffraction maxima, by angle, 10° ≤ 2θ ≤ 90°:
(hkl), 2θ (°), I_rel
0 2 1, 22.36, 39.2
1 1 1, 24.41, 56.3
1 2 1, 29.66, 33.7
0 2 2, 30.04, 36.5
1 1 2, 31.62, 100.0
1 3 0, 34.98, 49.1
1 2 2, 35.91, 24.7
2 0 0, 39.04, 33.3
0 2 3, 39.89, 17.7
1 1 3, 41.14, 16.8
1 4 1, 45.41, 25.9
2 2 3, 57.01, 25.0

abc: 4.6146 9.2556 7.7686
angles: 90.00 90.00 90.00
Space group Pmc2_1 (No. 26)
Symmetry-distinct sites (fractional):
Na (0.0000, 0.0823, 0.0000) x2
Na (0.5000, 0.1536, 0.3156) x2
Nd (0.5000, 0.4508, 0.9712) x2
Al (0.0000, 0.3324, 0.6336) x2
Sn (0.0000, 0.3751, 0.2566) x2
Sn (0.5000, 0.1779, 0.7148) x2

=====

Entry 2:
The following is a simulated powder diffraction line list of Tb3PrAg4. It was derived from a DFT-relaxed cell (PBE, Alexandria), using Cu Kα (weighted mean of Kα1 and Kα2).
Neutral-atom scattering factors, no anomalous dispersion.

Largest 10 diffraction maxima, by angle, 10° ≤ 2θ ≤ 90°:
(hkl), 2θ (°), I_rel
0 0 2, 24.14, 2.9
2 0 0, 34.40, 100.0
2 0 2, 42.47, 1.0
2 2 0, 49.44, 17.6
1 1 4, 55.76, 1.5
3 1 2, 61.62, 35.5
4 0 0, 72.52, 10.8
3 1 4, 77.70, 0.8
4 2 0, 82.74, 10.4
1 1 6, 82.90, 4.8

abc: 5.2172 5.2172 7.3643
angles: 90.00 90.00 90.00
Space group P4/mmm (No. 123)
Symmetry-distinct sites (fractional):
Tb (0.0000, 0.0000, 0.0000) x1
Tb (0.0000, 0.0000, 0.5000) x1
Tb (0.5000, 0.5000, 0.0000) x1
Pr (0.5000, 0.5000, 0.5000) x1
Ag (0.0000, 0.5000, 0.2389) x4

=====

Entry 3:
The following is a simulated powder diffraction line list of Ce2Mg12Hg7. It was derived from a DFT-relaxed cell (PBE, Alexandria), using Cu Kα (weighted mean of Kα1 and Kα2).
Neutral-atom scattering factors, no anomalous dispersion.

Largest 12 diffraction maxima, by angle, 10° ≤ 2θ ≤ 90°:
(hkl), 2θ (°), I_rel
1 0 1, 22.47, 18.5
2 1 0, 23.63, 100.0
1 1 1, 25.82, 33.7
2 0 1, 27.35, 53.7
1 2 1, 31.54, 68.3
3 0 1, 34.08, 20.9
3 1 1, 38.70, 36.3
1 4 0, 41.54, 57.3
0 0 2, 41.89, 31.5
3 2 1, 44.88, 25.9
2 1 2, 48.66, 30.6
1 4 2, 60.47, 52.5

abc: 11.5036 11.5036 4.3124
angles: 90.00 90.00 120.00
Space group P-6 (No. 174)
Symmetry-distinct sites (fractional):
Ce (0.0000, 0.0000, 0.0000) x1
Ce (0.3333, 0.6667, 0.5000) x1
Mg (0.0528, 0.2889, 0.5000) x3
Mg (0.0977, 0.7176, 0.0000) x3
Mg (0.3859, 0.1691, 0.0000) x3
Mg (0.5312, 0.4283, 0.5000) x3
Hg (0.0883, 0.4701, 0.0000) x3
Hg (0.2401, 0.1988, 0.5000) x3
Hg (0.6667, 0.3333, 0.0000) x1

=====

What is the formula in the third record?
Ce2Mg12Hg7

=====

Please write out number 3 again, unchanged.
The following is a simulated powder diffraction line list of Ce2Mg12Hg7. It was derived from a DFT-relaxed cell (PBE, Alexandria), using Cu Kα (weighted mean of Kα1 and Kα2).
Neutral-atom scattering factors, no anomalous dispersion.

Largest 12 diffraction maxima, by angle, 10° ≤ 2θ ≤ 90°:
(hkl), 2θ (°), I_rel
1 0 1, 22.47, 18.5
2 1 0, 23.63, 100.0
1 1 1, 25.82, 33.7
2 0 1, 27.35, 53.7
1 2 1, 31.54, 68.3
3 0 1, 34.08, 20.9
3 1 1, 38.70, 36.3
1 4 0, 41.54, 57.3
0 0 2, 41.89, 31.5
3 2 1, 44.88, 25.9
2 1 2, 48.66, 30.6
1 4 2, 60.47, 52.5

abc: 11.5036 11.5036 4.3124
angles: 90.00 90.00 120.00
Space group P-6 (No. 174)
Symmetry-distinct sites (fractional):
Ce (0.0000, 0.0000, 0.0000) x1
Ce (0.3333, 0.6667, 0.5000) x1
Mg (0.0528, 0.2889, 0.5000) x3
Mg (0.0977, 0.7176, 0.0000) x3
Mg (0.3859, 0.1691, 0.0000) x3
Mg (0.5312, 0.4283, 0.5000) x3
Hg (0.0883, 0.4701, 0.0000) x3
Hg (0.2401, 0.1988, 0.5000) x3
Hg (0.6667, 0.3333, 0.0000) x1